Theoretical X-ray diffraction stick pattern
Compound: TaBe17Zn
Radiation: Cu Kα, 1.54184 Å
Structure: the GGA-PBE geometry in Alexandria
Kinematic intensities with the Lorentz-polarization factor, no thermal factor.

```
data_TaBe17Zn
_space_group_name_H-M_alt 'R 3 m'
_space_group_IT_number 160
_space_group_name_Hall 'R 3 -2"'
_cell_length_a 7.3391
_cell_length_b 7.3391
_cell_length_c 10.9307
_cell_angle_alpha 90.00
_cell_angle_beta 90.00
_cell_angle_gamma 120.00
loop_
_atom_site_label
_atom_site_fract_x
_atom_site_fract_y
_atom_site_fract_z
Ta1 0.0000 0.0000 0.0000
Be1 0.0000 0.0000 0.5670
Be2 0.0000 0.0000 0.7668
Be3 0.0010 0.5005 0.5058
Be4 0.0027 0.5013 0.8229
Be5 0.0331 0.3607 0.3328
Be6 0.1721 0.3443 0.5066
Zn1 0.0000 0.0000 0.2754
```

Peak list (10 most intense, 10° ≤ 2θ ≤ 80°, low angle first)
16.1 deg, 5.495 Å, intensity 100
21.4 deg, 4.144 Å, intensity 20
24.3 deg, 3.670 Å, intensity 68
29.3 deg, 3.052 Å, intensity 27
34.7 deg, 2.586 Å, intensity 52
35.8 deg, 2.510 Å, intensity 29
38.4 deg, 2.346 Å, intensity 26
42.7 deg, 2.119 Å, intensity 23
49.7 deg, 1.833 Å, intensity 45
50.6 deg, 1.804 Å, intensity 27

Theoretical X-ray diffraction stick pattern
Compound: GaHO
Radiation: Cu Kα, 1.54184 Å
Structure: the GGA-PBE geometry in Alexandria
Kinematic intensities with the Lorentz-polarization factor, no thermal factor.

```
data_GaHO
_space_group_name_H-M_alt 'P 1'
_space_group_IT_number 1
_space_group_name_Hall 'P 1'
_cell_length_a 3.103
_cell_length_b 3.103
_cell_length_c 5.327
_cell_angle_alpha 75.35
_cell_angle_beta 74.82
_cell_angle_gamma 60.02
loop_
_atom_site_label
_atom_site_fract_x
_atom_site_fract_y
_atom_site_fract_z
Ga1 0.000 0.000 0.000
H1 0.905 0.914 0.305
O1 0.376 0.372 0.862
```

Peak list (10 most intense, 10° ≤ 2θ ≤ 80°, low angle first)
17.4 deg, 5.086 Å, intensity 100
33.7 deg, 2.656 Å, intensity 22
34.1 deg, 2.626 Å, intensity 10
35.0 deg, 2.566 Å, intensity 14
35.3 deg, 2.543 Å, intensity 12
35.6 deg, 2.525 Å, intensity 14
35.7 deg, 2.512 Å, intensity 14
44.0 deg, 2.058 Å, intensity 9
45.2 deg, 2.005 Å, intensity 8
59.6 deg, 1.551 Å, intensity 11

Theoretical X-ray diffraction stick pattern
Compound: AgIr
Radiation: Cu Kα, 1.54184 Å
Structure: the GGA-PBE geometry in Alexandria
Kinematic intensities with the Lorentz-polarization factor, no thermal factor.

```
data_AgIr
_space_group_name_H-M_alt 'P m m n'
_space_group_IT_number 59
_cell_length_a 2.765
_cell_length_b 4.502
_cell_length_c 5.151
_cell_angle_alpha 90.00
_cell_angle_beta 90.00
_cell_angle_gamma 90.00
loop_
_space_group_symop_operation_xyz
'x,y,z'
'-x,-y,-z'
'-x+1/2,-y+1/2,z'
'x+1/2,y+1/2,-z'
'x+1/2,-y,-z'
'-x+1/2,y,z'
'-x,y+1/2,-z'
'x,-y+1/2,z'
loop_
_atom_site_label
_atom_site_fract_x
_atom_site_fract_y
_atom_site_fract_z
Ag1 0.250 0.250 0.077
Ir1 0.250 0.750 0.438
```

Peak list (10 most intense, 10° ≤ 2θ ≤ 80°, low angle first)
17.2 deg, 5.151 Å, intensity 17
34.8 deg, 2.576 Å, intensity 22
36.9 deg, 2.436 Å, intensity 15
40.1 deg, 2.251 Å, intensity 35
40.3 deg, 2.236 Å, intensity 38
42.2 deg, 2.143 Å, intensity 100
54.1 deg, 1.695 Å, intensity 13
63.8 deg, 1.459 Å, intensity 16
74.2 deg, 1.278 Å, intensity 19
78.1 deg, 1.224 Å, intensity 17

Theoretical X-ray diffraction stick pattern
Compound: Sc2RuPb
Radiation: Cu Kα, 1.54184 Å
Structure: the GGA-PBE geometry in Alexandria
Kinematic intensities with the Lorentz-polarization factor, no thermal factor.

```
data_Sc2RuPb
_space_group_name_H-M_alt 'P 1 2/m 1'
_space_group_IT_number 10
_space_group_name_Hall '-P 2y'
_cell_length_a 3.270
_cell_length_b 3.254
_cell_length_c 7.832
_cell_angle_alpha 90.00
_cell_angle_beta 90.16
_cell_angle_gamma 90.00
loop_
_atom_site_label
_atom_site_fract_x
_atom_site_fract_y
_atom_site_fract_z
Sc1 0.001 0.000 0.197
Ru1 0.500 0.500 0.000
Pb1 0.500 0.500 0.500
```

Peak list (10 most intense, 10° ≤ 2θ ≤ 80°, low angle first)
11.3 deg, 7.831 Å, intensity 14
22.7 deg, 3.916 Å, intensity 41
27.3 deg, 3.270 Å, intensity 22
27.4 deg, 3.254 Å, intensity 22
35.7 deg, 2.513 Å, intensity 34
35.9 deg, 2.504 Å, intensity 100
39.1 deg, 2.307 Å, intensity 58
45.6 deg, 1.987 Å, intensity 28
54.7 deg, 1.678 Å, intensity 17
68.7 deg, 1.367 Å, intensity 20